[1]
Structure and theoretical X-ray powder pattern of DyIn2AgCl6 (a structure optimized by DFT (GGA-PBE); Cu Kα (λ = 1.5418 Å)).
No peak broadening, texture or thermal motion is included.

a b c (Å): 7.2931 7.6817 12.6090
angles (deg): 90.00 124.35 90.00
Element x y z (fractional)
Dy 0.0000 0.0000 0.0000
Dy 0.0000 0.5000 0.5000
In 0.2769 0.0735 0.7556
In 0.2769 0.4265 0.2556
In 0.7231 0.5735 0.7444
In 0.7231 0.9265 0.2444
Ag 0.5000 0.0000 0.5000
Ag 0.5000 0.5000 0.0000
Cl 0.1504 0.0233 0.2465
Cl 0.1504 0.4767 0.7465
Cl 0.2360 0.7125 0.0476
Cl 0.2360 0.7875 0.5476
Cl 0.3397 0.1894 0.0429
Cl 0.3397 0.3106 0.5429
Cl 0.6603 0.6894 0.4571
Cl 0.6603 0.8106 0.9571
Cl 0.7640 0.2125 0.4524
Cl 0.7640 0.2875 0.9524
Cl 0.8496 0.5233 0.2535
Cl 0.8496 0.9767 0.7535

Top 12 peaks for 2θ from 5° to 70°, most intense first:
24.14 deg, rel. 100; 23.84 deg, rel. 98; 33.90 deg, rel. 67; 43.00 deg, rel. 49; 24.41 deg, rel. 48; 34.46 deg, rel. 48; 23.16 deg, rel. 43; 42.44 deg, rel. 35; 41.93 deg, rel. 26; 34.87 deg, rel. 20; 37.22 deg, rel. 19; 48.79 deg, rel. 19

=====

[2]
Structure and theoretical X-ray powder pattern of DyTlAg2Cl6 (a structure optimized by DFT (GGA-PBE); Cu Kα (λ = 1.5418 Å)).
No peak broadening, texture or thermal motion is included.

a b c (Å): 7.6933 7.6933 7.6933
angles (deg): 55.13 55.13 55.13
Element x y z (fractional)
Dy 0.0000 0.0000 0.0000
Tl 0.5193 0.5193 0.5193
Ag 0.3249 0.3249 0.3249
Ag 0.8058 0.8058 0.8058
Cl 0.0654 0.3938 0.7495
Cl 0.1642 0.9758 0.5987
Cl 0.3938 0.7495 0.0654
Cl 0.5987 0.1642 0.9758
Cl 0.7495 0.0654 0.3938
Cl 0.9758 0.5987 0.1642

Top 12 peaks for 2θ from 5° to 70°, most intense first:
25.01 deg, rel. 100; 23.25 deg, rel. 97; 37.46 deg, rel. 96; 17.01 deg, rel. 61; 44.06 deg, rel. 51; 43.01 deg, rel. 43; 34.41 deg, rel. 42; 59.17 deg, rel. 21; 28.58 deg, rel. 19; 51.33 deg, rel. 18; 39.76 deg, rel. 17; 57.07 deg, rel. 17

=====

[3]
Structure and theoretical X-ray powder pattern of ErAg3Cl7 (a structure optimized by DFT (GGA-PBE); Cu Kα (λ = 1.5418 Å)).
No peak broadening, texture or thermal motion is included.

a b c (Å): 7.1293 7.1293 8.1432
angles (deg): 121.75 121.75 71.93
Element x y z (fractional)
Er 0.0000 0.0000 0.0000
Ag 0.2674 0.7281 0.4388
Ag 0.5483 0.5483 0.9367
Ag 0.7281 0.2674 0.4388
Cl 0.2654 0.8393 0.7985
Cl 0.2862 0.6898 0.1128
Cl 0.2878 0.2878 0.3431
Cl 0.6898 0.2862 0.1128
Cl 0.7096 0.7096 0.6507
Cl 0.8393 0.2654 0.7985
Cl 0.9018 0.9018 0.2466

Top 12 peaks for 2θ from 5° to 70°, most intense first:
20.25 deg, rel. 100; 26.33 deg, rel. 56; 25.69 deg, rel. 47; 21.89 deg, rel. 38; 40.36 deg, rel. 29; 15.20 deg, rel. 27; 38.52 deg, rel. 27; 39.85 deg, rel. 22; 49.25 deg, rel. 21; 41.65 deg, rel. 18; 43.21 deg, rel. 18; 34.83 deg, rel. 17

=====

[4]
Structure and theoretical X-ray powder pattern of KErAgCl6 (a structure optimized by DFT (GGA-PBE); Cu Kα (λ = 1.5418 Å)).
No peak broadening, texture or thermal motion is included.

a b c (Å): 6.7310 6.7310 6.9996
angles (deg): 91.99 91.99 115.73
Element x y z (fractional)
K 0.0000 0.0000 0.0000
Er 0.3316 0.6684 0.5000
Ag 0.6759 0.3241 0.5000
Cl 0.0154 0.3579 0.6890
Cl 0.0297 0.6356 0.2545
Cl 0.3644 0.9703 0.7455
Cl 0.3935 0.3641 0.2829
Cl 0.6359 0.6065 0.7171
Cl 0.6421 0.9846 0.3110

Top 12 peaks for 2θ from 5° to 70°, most intense first:
12.67 deg, rel. 100; 29.90 deg, rel. 48; 37.75 deg, rel. 41; 20.11 deg, rel. 39; 27.28 deg, rel. 34; 18.86 deg, rel. 34; 19.93 deg, rel. 31; 14.63 deg, rel. 29; 44.91 deg, rel. 25; 36.57 deg, rel. 23; 34.73 deg, rel. 23; 26.57 deg, rel. 19

=====

[5]
Structure and theoretical X-ray powder pattern of ErMgAgCl6 (a structure optimized by DFT (GGA-PBE); Cu Kα (λ = 1.5418 Å)).
No peak broadening, texture or thermal motion is included.

a b c (Å): 6.6033 6.6033 12.2157
angles (deg): 90.00 90.00 120.00
Element x y z (fractional)
Er 0.3333 0.6667 0.2500
Er 0.6667 0.3333 0.7500
Mg 0.3333 0.6667 0.7500
Mg 0.6667 0.3333 0.2500
Ag 0.0000 0.0000 0.0000
Ag 0.0000 0.0000 0.5000
Cl 0.0115 0.3594 0.6319
Cl 0.0115 0.6521 0.8681
Cl 0.3479 0.3594 0.8681
Cl 0.3479 0.9885 0.6319
Cl 0.3594 0.0115 0.1319
Cl 0.3594 0.3479 0.3681
Cl 0.6406 0.6521 0.6319
Cl 0.6406 0.9885 0.8681
Cl 0.6521 0.0115 0.3681
Cl 0.6521 0.6406 0.1319
Cl 0.9885 0.3479 0.1319
Cl 0.9885 0.6406 0.3681

Top 12 peaks for 2θ from 5° to 70°, most intense first:
21.28 deg, rel. 100; 40.22 deg, rel. 78; 17.12 deg, rel. 47; 47.70 deg, rel. 39; 30.78 deg, rel. 35; 44.46 deg, rel. 29; 34.64 deg, rel. 28; 27.01 deg, rel. 24; 26.88 deg, rel. 20; 64.13 deg, rel. 16; 32.15 deg, rel. 14; 42.47 deg, rel. 12

=====

[6]
Structure and theoretical X-ray powder pattern of NaErAgCl5 (a structure optimized by DFT (GGA-PBE); Cu Kα (λ = 1.5418 Å)).
No peak broadening, texture or thermal motion is included.

a b c (Å): 7.6211 7.6211 9.7617
angles (deg): 99.99 99.99 118.35
Element x y z (fractional)
Na 0.0742 0.9258 0.7500
Na 0.9258 0.0742 0.2500
Er 0.5000 0.5000 0.0000
Er 0.5000 0.5000 0.5000
Ag 0.2143 0.7857 0.2500
Ag 0.7857 0.2143 0.7500
Cl 0.0953 0.2550 0.9525
Cl 0.1662 0.4965 0.3724
Cl 0.2550 0.0953 0.4525
Cl 0.4216 0.5784 0.7500
Cl 0.4965 0.1662 0.8724
Cl 0.5035 0.8338 0.1276
Cl 0.5784 0.4216 0.2500
Cl 0.7450 0.9047 0.5475
Cl 0.8338 0.5035 0.6276
Cl 0.9047 0.7450 0.0475

Top 12 peaks for 2θ from 5° to 70°, most intense first:
23.68 deg, rel. 100; 20.19 deg, rel. 65; 13.82 deg, rel. 62; 27.20 deg, rel. 33; 14.33 deg, rel. 30; 24.22 deg, rel. 29; 19.09 deg, rel. 22; 39.46 deg, rel. 21; 35.88 deg, rel. 19; 42.32 deg, rel. 19; 36.78 deg, rel. 19; 26.62 deg, rel. 18